Theoretical powder diffraction line list
Compound: Mg14SiBO16
Radiation: Cu Kα (weighted mean of Kα1 and Kα2)
Structure: a structure optimized by DFT (PBE)

Crystal structure
```
data_Mg14SiBO16
_chemical_formula_sum 'Mg14 Si1 B1 O16'
_space_group_name_H-M_alt 'P m m m'
_space_group_IT_number 47
_cell_length_a 4.2178
_cell_length_b 8.4810
_cell_length_c 8.7056
_cell_angle_alpha 90.00
_cell_angle_beta 90.00
_cell_angle_gamma 90.00
loop_
_space_group_symop_operation_xyz
'x,y,z'
'-x,-y,-z'
'-x,-y,z'
'x,y,-z'
'x,-y,-z'
'-x,y,z'
'-x,y,-z'
'x,-y,z'
loop_
_atom_site_label
_atom_site_type_symbol
_atom_site_fract_x
_atom_site_fract_y
_atom_site_fract_z
_atom_site_occupancy
Mg1 Mg 0.0000 0.0000 0.0000 1
Mg2 Mg 0.0000 0.0000 0.5000 1
Mg3 Mg 0.0000 0.2552 0.2392 1
Mg4 Mg 0.5000 0.0000 0.2470 1
Mg5 Mg 0.5000 0.2516 0.5000 1
Mg6 Mg 0.5000 0.2547 0.0000 1
Mg7 Mg 0.5000 0.5000 0.2370 1
Si1 Si 0.0000 0.5000 0.5000 1
B1 B 0.0000 0.5000 0.0000 1
O1 O 0.0000 0.0000 0.2599 1
O2 O 0.0000 0.2313 0.0000 1
O3 O 0.0000 0.2729 0.5000 1
O4 O 0.0000 0.5000 0.3073 1
O5 O 0.5000 0.0000 0.0000 1
O6 O 0.5000 0.0000 0.5000 1
O7 O 0.5000 0.2530 0.2513 1
O8 O 0.5000 0.5000 0.0000 1
O9 O 0.5000 0.5000 0.5000 1
```

Most intense lines, 2θ = 15–90°, in order of rising 2θ:
36.45°, I = 30
41.49°, I = 99
42.64°, I = 98
42.88°, I = 100
61.01°, I = 52
61.20°, I = 53
62.07°, I = 54
72.39°, I = 10
74.00°, I = 8
77.44°, I = 46